[1]
Diffraction record for KTaSi2S8. The X-ray powder pattern is theoretical, not measured: it uses a DFT-relaxed cell (PBE, Alexandria) and Cu Kα, 1.54184 Å.
Peak positions follow from Bragg's law for the DFT cell and can differ from measured ones.

Largest 10 diffraction maxima, by angle, 5° ≤ 2θ ≤ 70°:
two_theta  intensity
10.1  83
16.7  54
19.6  100
26.4  71
29.2  35
35.8  65
39.8  25
50.1  25
51.3  36
51.8  32

Structure:
Unit cell a=6.1151 b=6.1151 c=8.7555 alpha=90.00 beta=90.00 gamma=120.00
Sites, in units of the cell vectors:
K  0.0000  0.0000  0.0000
Ta  0.0000  0.0000  0.5000
Si  0.3333  0.6667  0.7251
Si  0.6667  0.3333  0.2749
S  0.0043  0.6723  0.3409
S  0.3277  0.3320  0.3409
S  0.3320  0.0043  0.6591
S  0.3333  0.6667  0.9664
S  0.6667  0.3333  0.0336
S  0.6680  0.9957  0.3409
S  0.6723  0.6680  0.6591
S  0.9957  0.3277  0.6591

[2]
Diffraction record for Tb4Dy3Tl4. The X-ray powder pattern is theoretical, not measured: it uses a DFT-relaxed cell (PBE, Alexandria) and Cu Kα, 1.54184 Å.
Peak positions follow from Bragg's law for the DFT cell and can differ from measured ones.

Largest 10 diffraction maxima, by angle, 5° ≤ 2θ ≤ 70°:
two_theta  intensity
31.2  100
31.7  71
32.3  91
34.1  46
34.3  61
38.8  40
46.0  35
49.6  27
58.2  40
63.1  28

Structure:
Unit cell a=10.6958 b=10.6958 c=10.6958 alpha=160.22 beta=127.46 gamma=56.69
Sites, in units of the cell vectors:
Tb  0.0235  0.8376  0.1859
Tb  0.3482  0.1624  0.1859
Tb  0.6518  0.8376  0.8141
Tb  0.9765  0.1624  0.8141
Dy  0.0000  0.5000  0.5000
Dy  0.4035  0.4035  0.0000
Dy  0.5965  0.5965  0.0000
Tl  0.2696  0.7696  0.5000
Tl  0.2801  0.0000  0.2801
Tl  0.7199  0.0000  0.7199
Tl  0.7304  0.2304  0.5000

[3]
Diffraction record for KBe2CrBr8. The X-ray powder pattern is theoretical, not measured: it uses a DFT-relaxed cell (PBE, Alexandria) and Cu Kα, 1.54184 Å.
Peak positions follow from Bragg's law for the DFT cell and can differ from measured ones.

Largest 10 diffraction maxima, by angle, 5° ≤ 2θ ≤ 70°:
two_theta  intensity
8.7  41
21.8  15
26.2  27
29.6  100
33.3  85
38.9  18
45.7  17
49.9  33
53.4  25
57.3  17

Structure:
Unit cell a=10.8366 b=10.8366 c=10.8366 alpha=33.94 beta=33.94 gamma=33.94
Sites, in units of the cell vectors:
K  0.0000  0.0000  0.0000
Be  0.2376  0.2376  0.2376
Be  0.7624  0.7624  0.7624
Cr  0.5000  0.5000  0.5000
Br  0.1262  0.7713  0.4550
Br  0.2287  0.5450  0.8738
Br  0.3073  0.3073  0.3073
Br  0.4550  0.1262  0.7713
Br  0.5450  0.8738  0.2287
Br  0.6927  0.6927  0.6927
Br  0.7713  0.4550  0.1262
Br  0.8738  0.2287  0.5450

[4]
Diffraction record for TcTe2P. The X-ray powder pattern is theoretical, not measured: it uses a DFT-relaxed cell (PBE, Alexandria) and Cu Kα, 1.54184 Å.
Peak positions follow from Bragg's law for the DFT cell and can differ from measured ones.

Largest 10 diffraction maxima, by angle, 5° ≤ 2θ ≤ 70°:
two_theta  intensity
9.1  36
18.3  39
27.6  22
30.5  39
34.5  100
40.5  20
41.5  49
47.7  37
50.6  16
60.2  16

Structure:
Unit cell a=3.0746 b=3.0746 c=9.7089 alpha=90.00 beta=90.00 gamma=90.00
Sites, in units of the cell vectors:
Tc  0.0000  0.0000  0.0000
Te  0.0000  0.0000  0.5507
Te  0.5000  0.5000  0.1907
P  0.5000  0.5000  0.8696

[5]
Diffraction record for TaWSe4. The X-ray powder pattern is theoretical, not measured: it uses a DFT-relaxed cell (PBE, Alexandria) and Cu Kα, 1.54184 Å.
Peak positions follow from Bragg's law for the DFT cell and can differ from measured ones.

Largest 10 diffraction maxima, by angle, 5° ≤ 2θ ≤ 70°:
two_theta  intensity
12.6  100
30.4  11
31.0  21
33.0  52
36.1  10
40.0  68
49.9  21
53.9  24
55.6  16
69.2  14

Structure:
Unit cell a=3.4004 b=3.4004 c=14.0024 alpha=90.00 beta=90.00 gamma=120.00
Sites, in units of the cell vectors:
Ta  0.0000  0.0000  0.0000
W  0.0000  0.0000  0.5000
Se  0.3333  0.6667  0.3819
Se  0.3333  0.6667  0.6181
Se  0.6667  0.3333  0.1216
Se  0.6667  0.3333  0.8784

[6]
Diffraction record for Cs2HgHAu. The X-ray powder pattern is theoretical, not measured: it uses a DFT-relaxed cell (PBE, Alexandria) and Cu Kα, 1.54184 Å.
Peak positions follow from Bragg's law for the DFT cell and can differ from measured ones.

Largest 10 diffraction maxima, by angle, 5° ≤ 2θ ≤ 70°:
two_theta  intensity
10.3  60
10.9  88
25.2  65
26.9  44
27.7  100
28.8  72
31.2  74
31.6  85
32.8  64
37.4  53

Structure:
Unit cell a=8.4860 b=4.8061 c=8.9734 alpha=90.00 beta=106.81 gamma=90.00
Sites, in units of the cell vectors:
Cs  0.1192  0.2500  0.3607
Cs  0.2559  0.2500  0.9799
Cs  0.7441  0.7500  0.0201
Cs  0.8808  0.7500  0.6393
Hg  0.4626  0.7500  0.3522
Hg  0.5374  0.2500  0.6478
H  0.1271  0.7500  0.1479
H  0.8729  0.2500  0.8521
Au  0.3360  0.7500  0.6784
Au  0.6640  0.2500  0.3216